Calculated X-ray diffraction stick pattern of ZnCd2N2 for Cu Kα (λ = 1.5418 Å), from a GGA-PBE-relaxed structure.

Main lines, by intensity (10 to 90 degrees two-theta):
33.4 deg, intensity 100, (1 0 3); 37.0 deg, intensity 53, (1 1 0); 64.4 deg, intensity 29, (2 1 3); 57.2 deg, intensity 26, (1 1 6); 42.0 deg, intensity 17, (0 0 6); 53.3 deg, intensity 17, (2 0 0); 70.1 deg, intensity 14, (2 0 6); 71.2 deg, intensity 12, (1 0 9); 88.3 deg, intensity 6, (3 0 3); 13.7 deg, intensity 6, (0 0 2)

Structure:
Cell lengths 3.4353, 3.4353, 12.9176 Å; angles 90.00, 90.00, 90.00 degrees
Space group I4/mmm (No. 139)
Asymmetric unit:
Zn  0.0000  0.0000  0.0000 [2 per cell]
Cd  0.0000  0.0000  0.3349 [4 per cell]
N  0.0000  0.0000  0.1441 [4 per cell]

Calculated X-ray diffraction stick pattern of ZnCd2N2 for Cu Kα (λ = 1.5418 Å), from a GGA-PBE-relaxed structure.

Main lines, by intensity (10 to 90 degrees two-theta):
32.0 deg, intensity 100, (1 1 1); 34.9 deg, intensity 64, (1 1 -2); 26.6 deg, intensity 52, (2 0 -1); 27.7 deg, intensity 49, (2 0 0); 46.2 deg, intensity 45, (3 1 -1); 63.7 deg, intensity 30, (0 2 3); 41.5 deg, intensity 29, (0 0 3); 46.0 deg, intensity 23, (0 2 0); 41.8 deg, intensity 19, (2 0 -3); 63.8 deg, intensity 18, (3 1 2)

Structure:
Cell lengths 6.8013, 3.9430, 6.9158 Å; angles 90.00, 109.20, 90.00 degrees
Space group C2/m (No. 12)
Asymmetric unit:
Zn  0.0000  0.0000  0.0000 [2 per cell]
Cd  0.2249  0.0000  0.6726 [4 per cell]
N  0.0949  0.0000  0.2843 [4 per cell]

Calculated X-ray diffraction stick pattern of ZrCd4N4 for Cu Kα (λ = 1.5418 Å), from a GGA-PBE-relaxed structure.

Main lines, by intensity (10 to 90 degrees two-theta):
31.9 deg, intensity 100, (2 0 1); 36.0 deg, intensity 87, (-1 1 2); 31.8 deg, intensity 53, (0 2 0); 31.6 deg, intensity 52, (1 1 3); 38.8 deg, intensity 38, (1 -1 3); 53.8 deg, intensity 26, (3 1 4); 54.0 deg, intensity 25, (2 -2 1); 51.5 deg, intensity 16, (1 3 3); 65.9 deg, intensity 15, (3 -1 4); 62.0 deg, intensity 12, (-1 3 2)

Structure:
Cell lengths 6.0323, 6.0616, 8.9677 Å; angles 80.20, 72.12, 68.49 degrees
Space group P-1 (No. 2)
Asymmetric unit:
Zr  0.1136  0.2214  0.2248 [2 per cell]
Cd  0.0075  0.7535  0.4141 [2 per cell]
Cd  0.2696  0.7409  0.0000 [2 per cell]
Cd  0.3276  0.2128  0.8049 [2 per cell]
Cd  0.4537  0.7446  0.5724 [2 per cell]
N  0.0372  0.0222  0.8116 [2 per cell]
N  0.1839  0.5336  0.6138 [2 per cell]
N  0.3180  0.3490  0.0185 [2 per cell]
N  0.3458  0.0397  0.3691 [2 per cell]

Calculated X-ray diffraction stick pattern of Na3Cd for Cu Kα (λ = 1.5418 Å), from a GGA-PBE-relaxed structure.

Main lines, by intensity (10 to 90 degrees two-theta):
31.3 deg, intensity 100, (1 1 2); 20.2 deg, intensity 67, (1 0 1); 37.1 deg, intensity 31, (2 0 0); 17.1 deg, intensity 25, (0 0 2); 63.3 deg, intensity 24, (3 1 2); 51.6 deg, intensity 23, (2 0 4); 31.8 deg, intensity 22, (1 0 3); 42.6 deg, intensity 19, (2 1 1); 34.6 deg, intensity 19, (0 0 4); 26.0 deg, intensity 18, (1 1 0)

Structure:
Cell lengths 4.8461, 4.8461, 10.3644 Å; angles 90.00, 90.00, 90.00 degrees
Space group I4/mmm (No. 139)
Asymmetric unit:
Na  0.0000  0.0000  0.0000 [2 per cell]
Na  0.0000  0.5000  0.2500 [4 per cell]
Cd  0.0000  0.0000  0.5000 [2 per cell]

What did the fourth record say?
Calculated X-ray diffraction stick pattern of Na3Cd for Cu Kα (λ = 1.5418 Å), from a GGA-PBE-relaxed structure.

Main lines, by intensity (10 to 90 degrees two-theta):
31.3 deg, intensity 100, (1 1 2); 20.2 deg, intensity 67, (1 0 1); 37.1 deg, intensity 31, (2 0 0); 17.1 deg, intensity 25, (0 0 2); 63.3 deg, intensity 24, (3 1 2); 51.6 deg, intensity 23, (2 0 4); 31.8 deg, intensity 22, (1 0 3); 42.6 deg, intensity 19, (2 1 1); 34.6 deg, intensity 19, (0 0 4); 26.0 deg, intensity 18, (1 1 0)

Structure:
Cell lengths 4.8461, 4.8461, 10.3644 Å; angles 90.00, 90.00, 90.00 degrees
Space group I4/mmm (No. 139)
Asymmetric unit:
Na  0.0000  0.0000  0.0000 [2 per cell]
Na  0.0000  0.5000  0.2500 [4 per cell]
Cd  0.0000  0.0000  0.5000 [2 per cell]